Record 1
The following is a calculated XRD peak list of Sc2Fe3Si. It was derived from a DFT-relaxed cell (GGA-PBE, Alexandria), using Cu Kα (λ = 1.5418 Å).
No peak broadening, texture or thermal motion is included.

Structural model:
Lattice parameters (Å, degrees): 4.978 4.978 7.858 90.00 90.00 120.00
Fractional positions:
Sc: 0.333 0.667 0.063
Sc: 0.333 0.667 0.437
Sc: 0.667 0.333 0.563
Sc: 0.667 0.333 0.937
Fe: 0.172 0.343 0.750
Fe: 0.172 0.828 0.750
Fe: 0.343 0.172 0.250
Fe: 0.657 0.828 0.750
Fe: 0.828 0.172 0.250
Fe: 0.828 0.657 0.250
Si: 0.000 0.000 0.000
Si: 0.000 0.000 0.500

Most intense lines, 2θ = 10–90°, in order of rising 2θ:
| d [Å] | I_rel |
| --- | --- |
| 3.929 | 22 |
| 2.239 | 61 |
| 2.156 | 18 |
| 2.103 | 69 |
| 2.079 | 100 |
| 1.384 | 19 |
| 1.270 | 26 |
| 1.245 | 21 |

Record 2
The following is a calculated XRD peak list of LaTb3Ho2. It was derived from a DFT-relaxed cell (GGA-PBE, Alexandria), using Cu Kα (λ = 1.5418 Å).
No peak broadening, texture or thermal motion is included.

Structural model:
Lattice parameters (Å, degrees): 9.504 9.504 11.624 90.00 90.00 158.16
Fractional positions:
La: 0.220 0.780 0.750
La: 0.780 0.220 0.250
Tb: 0.108 0.892 0.250
Tb: 0.335 0.665 0.503
Tb: 0.335 0.665 0.997
Tb: 0.665 0.335 0.003
Tb: 0.665 0.335 0.497
Tb: 0.892 0.108 0.750
Ho: 0.000 0.000 0.000
Ho: 0.000 0.000 0.500
Ho: 0.447 0.553 0.250
Ho: 0.553 0.447 0.750

Most intense lines, 2θ = 10–90°, in order of rising 2θ:
| d [Å] | I_rel |
| --- | --- |
| 3.008 | 40 |
| 2.906 | 34 |
| 2.745 | 100 |
| 2.427 | 22 |
| 1.798 | 25 |
| 1.645 | 22 |
| 1.529 | 30 |
| 1.130 | 11 |

Record 3
The following is a calculated XRD peak list of CaMgBe2. It was derived from a DFT-relaxed cell (GGA-PBE, Alexandria), using Cu Kα (λ = 1.5418 Å).
No peak broadening, texture or thermal motion is included.

Structural model:
Lattice parameters (Å, degrees): 3.940 5.704 5.704 36.92 90.00 90.00
Fractional positions:
Ca: 0.000 0.000 0.000
Mg: 0.500 0.709 0.709
Be: 0.000 0.292 0.292
Be: 0.500 0.378 0.378

Most intense lines, 2θ = 10–90°, in order of rising 2θ:
| d [Å] | I_rel |
| --- | --- |
| 3.426 | 34 |
| 3.185 | 95 |
| 2.705 | 26 |
| 2.586 | 100 |
| 2.552 | 72 |
| 2.142 | 22 |
| 1.679 | 24 |
| 1.560 | 28 |

Record 4
The following is a calculated XRD peak list of NaZn6Ag2. It was derived from a DFT-relaxed cell (GGA-PBE, Alexandria), using Cu Kα (λ = 1.5418 Å).
No peak broadening, texture or thermal motion is included.

Structural model:
Lattice parameters (Å, degrees): 8.323 8.323 8.323 60.00 60.00 60.00
Fractional positions:
Na: 0.125 0.125 0.125
Na: 0.875 0.875 0.875
Zn: 0.119 0.119 0.631
Zn: 0.119 0.631 0.119
Zn: 0.119 0.631 0.631
Zn: 0.369 0.369 0.881
Zn: 0.369 0.881 0.369
Zn: 0.369 0.881 0.881
Zn: 0.631 0.119 0.119
Zn: 0.631 0.119 0.631
Zn: 0.631 0.631 0.119
Zn: 0.881 0.369 0.369
Zn: 0.881 0.369 0.881
Zn: 0.881 0.881 0.369
Ag: 0.000 0.500 0.500
Ag: 0.500 0.000 0.500
Ag: 0.500 0.500 0.000
Ag: 0.500 0.500 0.500

Most intense lines, 2θ = 10–90°, in order of rising 2θ:
| d [Å] | I_rel |
| --- | --- |
| 6.796 | 21 |
| 4.162 | 20 |
| 3.549 | 31 |
| 3.398 | 30 |
| 2.943 | 15 |
| 2.265 | 16 |
| 2.081 | 100 |
| 1.201 | 30 |

Record 5
The following is a calculated XRD peak list of Ac5AgHg4. It was derived from a DFT-relaxed cell (GGA-PBE, Alexandria), using Cu Kα (λ = 1.5418 Å).
No peak broadening, texture or thermal motion is included.

Structural model:
Lattice parameters (Å, degrees): 4.029 4.029 20.145 90.00 90.00 90.00
Fractional positions:
Ac: 0.000 0.000 0.000
Ac: 0.000 0.000 0.202
Ac: 0.000 0.000 0.404
Ac: 0.000 0.000 0.596
Ac: 0.000 0.000 0.798
Ag: 0.500 0.500 0.500
Hg: 0.500 0.500 0.101
Hg: 0.500 0.500 0.302
Hg: 0.500 0.500 0.698
Hg: 0.500 0.500 0.899

Most intense lines, 2θ = 10–90°, in order of rising 2θ:
| d [Å] | I_rel |
| --- | --- |
| 4.029 | 1 |
| 3.146 | 1 |
| 2.849 | 100 |
| 2.015 | 19 |
| 1.645 | 40 |
| 1.425 | 12 |
| 1.274 | 17 |
| 1.163 | 4 |

Record 6
The following is a calculated XRD peak list of Cs2Pu3Se6. It was derived from a DFT-relaxed cell (GGA-PBE, Alexandria), using Cu Kα (λ = 1.5418 Å).
No peak broadening, texture or thermal motion is included.

Structural model:
Lattice parameters (Å, degrees): 7.343 7.343 8.851 97.94 97.94 120.00
Fractional positions:
Cs: 0.167 0.833 0.000
Cs: 0.833 0.167 0.000
Pu: 0.000 0.000 0.500
Pu: 0.334 0.666 0.500
Pu: 0.666 0.334 0.500
Se: 0.059 0.393 0.679
Se: 0.273 0.273 0.321
Se: 0.393 0.059 0.679
Se: 0.607 0.941 0.321
Se: 0.727 0.727 0.679
Se: 0.941 0.607 0.321

Most intense lines, 2θ = 10–90°, in order of rising 2θ:
| d [Å] | I_rel |
| --- | --- |
| 8.506 | 70 |
| 4.253 | 16 |
| 3.529 | 18 |
| 3.182 | 100 |
| 2.587 | 23 |
| 2.408 | 33 |
| 2.120 | 36 |
| 1.764 | 18 |

Record 7
The following is a calculated XRD peak list of Mg4AgRh2. It was derived from a DFT-relaxed cell (GGA-PBE, Alexandria), using Cu Kα (λ = 1.5418 Å).
No peak broadening, texture or thermal motion is included.

Structural model:
Lattice parameters (Å, degrees): 6.870 6.870 6.870 109.71 109.71 108.99
Fractional positions:
Mg: 0.140 0.725 0.747
Mg: 0.143 0.228 0.753
Mg: 0.275 0.022 0.415
Mg: 0.475 0.390 0.247
Mg: 0.607 0.860 0.585
Mg: 0.610 0.857 0.085
Mg: 0.772 0.525 0.915
Mg: 0.978 0.393 0.253
Ag: 0.000 0.000 0.000
Ag: 0.750 0.250 0.500
Rh: 0.237 0.625 0.112
Rh: 0.375 0.487 0.612
Rh: 0.513 0.125 0.888
Rh: 0.875 0.763 0.388

Most intense lines, 2θ = 10–90°, in order of rising 2θ:
| d [Å] | I_rel |
| --- | --- |
| 3.248 | 58 |
| 3.234 | 100 |
| 2.521 | 48 |
| 2.502 | 95 |
| 2.126 | 26 |
| 2.117 | 66 |
| 1.770 | 33 |
| 1.692 | 28 |

Record 8
The following is a calculated XRD peak list of NaTl5Pt. It was derived from a DFT-relaxed cell (GGA-PBE, Alexandria), using Cu Kα (λ = 1.5418 Å).
No peak broadening, texture or thermal motion is included.

Structural model:
Lattice parameters (Å, degrees): 4.864 4.864 8.075 90.00 90.00 90.00
Fractional positions:
Na: 0.000 0.000 0.000
Tl: 0.000 0.500 0.297
Tl: 0.000 0.500 0.703
Tl: 0.500 0.000 0.297
Tl: 0.500 0.000 0.703
Tl: 0.500 0.500 0.000
Pt: 0.000 0.000 0.500

Most intense lines, 2θ = 10–90°, in order of rising 2θ:
| d [Å] | I_rel |
| --- | --- |
| 4.166 | 38 |
| 3.439 | 13 |
| 2.618 | 100 |
| 2.432 | 52 |
| 2.120 | 16 |
| 2.100 | 12 |
| 1.720 | 18 |
| 1.437 | 32 |

Record 9
The following is a calculated XRD peak list of Sr2BO4. It was derived from a DFT-relaxed cell (GGA-PBE, Alexandria), using Cu Kα (λ = 1.5418 Å).
No peak broadening, texture or thermal motion is included.

Structural model:
Lattice parameters (Å, degrees): 6.844 8.587 8.592 119.16 90.99 100.28
Fractional positions:
Sr: 0.200 0.073 0.364
Sr: 0.227 0.414 0.893
Sr: 0.264 0.610 0.476
Sr: 0.268 0.010 0.890
Sr: 0.732 0.990 0.110
Sr: 0.736 0.390 0.524
Sr: 0.773 0.586 0.107
Sr: 0.800 0.927 0.636
B: 0.008 0.312 0.150
B: 0.485 0.652 0.800
B: 0.515 0.348 0.200
B: 0.992 0.688 0.850
O: 0.006 0.286 0.300
O: 0.049 0.835 0.023
O: 0.070 0.489 0.179
O: 0.160 0.084 0.659
O: 0.275 0.939 0.554
O: 0.404 0.478 0.656
O: 0.475 0.195 0.224
O: 0.480 0.324 0.029
O: 0.520 0.676 0.971
O: 0.525 0.805 0.776
O: 0.596 0.522 0.344
O: 0.725 0.061 0.446
O: 0.840 0.916 0.341
O: 0.930 0.511 0.821
O: 0.951 0.165 0.977
O: 0.994 0.714 0.700

Most intense lines, 2θ = 10–90°, in order of rising 2θ:
| d [Å] | I_rel |
| --- | --- |
| 3.663 | 66 |
| 3.435 | 93 |
| 3.367 | 47 |
| 3.342 | 86 |
| 3.101 | 100 |
| 2.883 | 65 |
| 2.783 | 90 |
| 2.396 | 55 |

Record 10
The following is a calculated XRD peak list of Ag3AuBr8. It was derived from a DFT-relaxed cell (GGA-PBE, Alexandria), using Cu Kα (λ = 1.5418 Å).
No peak broadening, texture or thermal motion is included.

Structural model:
Lattice parameters (Å, degrees): 8.805 8.805 7.098 112.31 112.31 51.61
Fractional positions:
Ag: 0.000 0.000 0.000
Ag: 0.000 0.500 0.500
Ag: 0.500 0.000 0.500
Au: 0.500 0.500 0.000
Br: 0.237 0.237 0.233
Br: 0.240 0.240 0.744
Br: 0.266 0.723 0.746
Br: 0.277 0.734 0.254
Br: 0.723 0.266 0.746
Br: 0.734 0.277 0.254
Br: 0.760 0.760 0.256
Br: 0.763 0.763 0.767

Most intense lines, 2θ = 10–90°, in order of rising 2θ:
| d [Å] | I_rel |
| --- | --- |
| 6.291 | 78 |
| 4.025 | 22 |
| 3.594 | 100 |
| 3.293 | 35 |
| 2.604 | 85 |
| 2.130 | 46 |
| 2.088 | 43 |
| 1.691 | 21 |

Record 11
The following is a calculated XRD peak list of Pm5Pd2Pb5. It was derived from a DFT-relaxed cell (GGA-PBE, Alexandria), using Cu Kα (λ = 1.5418 Å).
No peak broadening, texture or thermal motion is included.

Structural model:
Lattice parameters (Å, degrees): 8.714 8.714 10.777 127.87 127.87 31.74
Fractional positions:
Pm: 0.000 0.000 0.000
Pm: 0.130 0.130 0.832
Pm: 0.174 0.174 0.519
Pm: 0.826 0.826 0.481
Pm: 0.870 0.870 0.168
Pd: 0.351 0.351 0.945
Pd: 0.649 0.649 0.055
Pb: 0.249 0.249 0.228
Pb: 0.446 0.446 0.749
Pb: 0.500 0.500 0.500
Pb: 0.554 0.554 0.251
Pb: 0.751 0.751 0.772

Most intense lines, 2θ = 10–90°, in order of rising 2θ:
| d [Å] | I_rel |
| --- | --- |
| 3.193 | 17 |
| 2.868 | 100 |
| 2.762 | 45 |
| 2.596 | 83 |
| 2.383 | 44 |
| 1.803 | 26 |
| 1.453 | 17 |
| 1.413 | 17 |

Record 12
The following is a calculated XRD peak list of MgVCr3S8. It was derived from a DFT-relaxed cell (GGA-PBE, Alexandria), using Cu Kα (λ = 1.5418 Å).
No peak broadening, texture or thermal motion is included.

Structural model:
Lattice parameters (Å, degrees): 6.938 6.938 6.938 61.51 61.51 61.51
Fractional positions:
Mg: 0.000 0.000 0.000
V: 0.595 0.595 0.595
Cr: 0.131 0.614 0.614
Cr: 0.614 0.131 0.614
Cr: 0.614 0.614 0.131
S: 0.370 0.370 0.858
S: 0.370 0.858 0.370
S: 0.375 0.375 0.375
S: 0.414 0.849 0.849
S: 0.849 0.414 0.849
S: 0.849 0.849 0.414
S: 0.858 0.370 0.370
S: 0.858 0.858 0.858

Most intense lines, 2θ = 10–90°, in order of rising 2θ:
| d [Å] | I_rel |
| --- | --- |
| 5.771 | 60 |
| 5.600 | 22 |
| 3.022 | 15 |
| 2.997 | 21 |
| 2.480 | 100 |
| 1.911 | 14 |
| 1.774 | 40 |
| 1.734 | 33 |

Record 13
The following is a calculated XRD peak list of DyEr2NpSb4. It was derived from a DFT-relaxed cell (GGA-PBE, Alexandria), using Cu Kα (λ = 1.5418 Å).
No peak broadening, texture or thermal motion is included.

Structural model:
Lattice parameters (Å, degrees): 7.571 4.369 7.576 90.00 109.31 90.00
Fractional positions:
Dy: 0.000 0.000 0.000
Er: 0.500 0.000 0.500
Er: 0.500 0.500 0.000
Np: 0.000 0.500 0.500
Sb: 0.252 0.500 0.251
Sb: 0.253 0.000 0.752
Sb: 0.747 0.000 0.248
Sb: 0.748 0.500 0.749

Most intense lines, 2θ = 10–90°, in order of rising 2θ:
| d [Å] | I_rel |
| --- | --- |
| 3.092 | 100 |
| 2.188 | 38 |
| 2.185 | 38 |
| 1.787 | 14 |
| 1.784 | 14 |
| 1.384 | 12 |
| 1.382 | 23 |
| 1.262 | 13 |